# 1
Computed PXRD pattern of NaH2SeO4 for Cu Kα, from a crystal structure in Alexandria, relaxed with PBE.
Lines closer than 0.1° are merged.

Principal peaks in the range 15° ≤ 2θ ≤ 90°, sorted by position:
- 2θ = 17.40°, rel. 55, hkl 1 1 1
- 2θ = 23.56°, rel. 100, hkl 1 1 2
- 2θ = 28.38°, rel. 81, hkl 1 3 1
- 2θ = 31.32°, rel. 59, hkl 2 0 2
- 2θ = 31.78°, rel. 30, hkl 0 2 3
- 2θ = 39.97°, rel. 22, hkl 1 1 4

Crystal structure
a = 7.0467 Å, b = 11.3047 Å, c = 9.7427 Å
α = 90.00°, β = 90.00°, γ = 90.00°
Space group Cmc2_1 (No. 36)
Symmetry-distinct sites (fractional):
Na1 0.2350 0.1725 0.0000 [8 per cell]
H1 0.0000 0.1699 0.2437 [4 per cell]
H2 0.0000 0.3055 0.2269 [4 per cell]
H3 0.2317 0.4197 0.9841 [8 per cell]
Se1 0.0000 0.0957 0.6746 [4 per cell]
Se2 0.0000 0.4428 0.8095 [4 per cell]
O1 0.0000 0.1003 0.8446 [4 per cell]
O2 0.0000 0.2313 0.1733 [4 per cell]
O3 0.0000 0.2315 0.6067 [4 per cell]
O4 0.0000 0.4199 0.3759 [4 per cell]
O5 0.1927 0.3728 0.8974 [8 per cell]
O6 0.1954 0.0223 0.6196 [8 per cell]


# 2
Computed PXRD pattern of DyHo4Tm7 for Cu Kα, from a crystal structure in Alexandria, relaxed with PBE.
Lines closer than 0.1° are merged.

Principal peaks in the range 15° ≤ 2θ ≤ 90°, sorted by position:
- 2θ = 31.08°, rel. 42, hkl 0 0 3
- 2θ = 31.64°, rel. 47, hkl 2 0 2
- 2θ = 32.20°, rel. 58, hkl 1 2 -1
- 2θ = 32.37°, rel. 72, hkl 1 -2 0
- 2θ = 32.78°, rel. 100, hkl 2 0 -1
- 2θ = 33.26°, rel. 21, hkl 0 1 3

Crystal structure
a = 6.4250 Å, b = 6.7075 Å, c = 8.8810 Å
α = 85.00°, β = 76.73°, γ = 81.21°
Space group P-1 (No. 2)
Symmetry-distinct sites (fractional):
Dy1 0.0000 0.0000 0.0000 [1 per cell]
Ho1 0.1633 0.6169 0.3109 [2 per cell]
Ho2 0.3613 0.1938 0.7127 [2 per cell]
Tm1 0.0000 0.5000 0.0000 [1 per cell]
Tm2 0.1884 0.1076 0.3863 [2 per cell]
Tm3 0.3178 0.7037 0.6429 [2 per cell]
Tm4 0.4843 0.2492 0.0497 [2 per cell]


# 3
Computed PXRD pattern of Cd4InPb for Cu Kα, from a crystal structure in Alexandria, relaxed with PBE.
Lines closer than 0.1° are merged.

Principal peaks in the range 15° ≤ 2θ ≤ 90°, sorted by position:
- 2θ = 33.01°, rel. 100, hkl 1 1 1
- 2θ = 33.26°, rel. 38, hkl 1 0 -2
- 2θ = 34.90°, rel. 57, hkl 0 2 0
- 2θ = 35.61°, rel. 81, hkl 0 1 3
- 2θ = 37.70°, rel. 45, hkl 1 1 -2
- 2θ = 65.78°, rel. 26, hkl 2 1 3

Crystal structure
a = 3.4361 Å, b = 5.1417 Å, c = 8.6785 Å
α = 90.00°, β = 90.09°, γ = 90.00°
Space group Pm (No. 6)
Symmetry-distinct sites (fractional):
Cd1 0.0000 0.0000 0.0000 [1 per cell]
Cd2 0.0001 0.5000 0.4273 [1 per cell]
Cd3 0.5011 0.0000 0.3044 [1 per cell]
Cd4 0.9988 0.5000 0.7838 [1 per cell]
In1 0.5000 0.5000 0.0975 [1 per cell]
Pb1 0.4984 0.0000 0.6585 [1 per cell]